1.
Starting from a PBE-relaxed structure, the PXRD pattern of DyEr2Tm7 was simulated for Cu Kα X-rays.
Lines closer than 0.1° are merged.

Structural model:
```
data_DyEr2Tm7
_cell_length_a 6.041
_cell_length_b 6.971
_cell_length_c 7.810
_cell_angle_alpha 77.02
_cell_angle_beta 75.00
_cell_angle_gamma 73.30
_symmetry_space_group_name_H-M 'P -1'
_symmetry_Int_Tables_number 2
_symmetry_space_group_name_Hall '-P 1'
loop_
_atom_site_label
_atom_site_type_symbol
_atom_site_fract_x
_atom_site_fract_y
_atom_site_fract_z
Dy1 Dy 0.000 0.000 0.000
Er1 Er 0.200 0.300 0.600
Tm1 Tm 0.000 0.500 0.000
Tm2 Tm 0.200 0.800 0.600
Tm3 Tm 0.400 0.100 0.200
Tm4 Tm 0.400 0.600 0.200
```

Principal peaks in the range 2θ = 10–80°, by intensity:
hkl 2 0 1, d = 2.849 Å, 31.4°, I = 100.0; hkl 2 2 0, d = 2.467 Å, 36.4°, I = 50.6; hkl 3 2 3, d = 1.745 Å, 52.4°, I = 29.9; hkl 3 0 4, d = 1.488 Å, 62.4°, I = 28.4; hkl 4 2 1, d = 1.486 Å, 62.5°, I = 14.1; hkl 4 0 2, d = 1.424 Å, 65.5°, I = 12.3; hkl 1 4 1, d = 1.743 Å, 52.5°, I = 6.0; hkl 2 0 6, d = 1.234 Å, 77.3°, I = 3.8; hkl 4 4 0, d = 1.232 Å, 77.5°, I = 1.9

---

2.
Starting from a PBE-relaxed structure, the PXRD pattern of Tl9InHg6 was simulated for Cu Kα X-rays.
Lines closer than 0.1° are merged.

Structural model:
```
data_Tl9InHg6
_cell_length_a 8.668
_cell_length_b 8.668
_cell_length_c 12.579
_cell_angle_alpha 90.00
_cell_angle_beta 90.00
_cell_angle_gamma 90.00
_symmetry_space_group_name_H-M 'I 4/m'
_symmetry_Int_Tables_number 87
_symmetry_space_group_name_Hall '-I 4'
loop_
_atom_site_label
_atom_site_type_symbol
_atom_site_fract_x
_atom_site_fract_y
_atom_site_fract_z
Tl1 Tl 0.000 0.000 0.000
Tl2 Tl 0.138 0.336 0.159
In1 In 0.000 0.000 0.500
Hg1 Hg 0.000 0.000 0.260
Hg2 Hg 0.137 0.339 0.500
```

Principal peaks in the range 2θ = 10–80°, by intensity:
hkl 2 1 3, d = 2.846 Å, 31.4°, I = 100.0; hkl 1 3 0, d = 2.741 Å, 32.7°, I = 56.8; hkl 2 5 3, d = 1.503 Å, 61.7°, I = 18.6; hkl 4 2 0, d = 1.938 Å, 46.9°, I = 10.8; hkl 1 3 6, d = 1.665 Å, 55.2°, I = 10.2; hkl 1 4 3, d = 1.879 Å, 48.4°, I = 9.9; hkl 3 3 6, d = 1.463 Å, 63.6°, I = 8.4; hkl 2 1 9, d = 1.315 Å, 71.8°, I = 8.3; hkl 1 1 4, d = 2.798 Å, 32.0°, I = 8.3; hkl 0 0 6, d = 2.097 Å, 43.1°, I = 8.0

---

3.
Starting from a PBE-relaxed structure, the PXRD pattern of ReSbCl2 was simulated for Cu Kα X-rays.
Lines closer than 0.1° are merged.

Structural model:
```
data_ReSbCl2
_cell_length_a 5.280
_cell_length_b 13.150
_cell_length_c 3.179
_cell_angle_alpha 90.00
_cell_angle_beta 90.00
_cell_angle_gamma 90.00
_symmetry_space_group_name_H-M 'C m m m'
_symmetry_Int_Tables_number 65
_symmetry_space_group_name_Hall '-C 2 2'
loop_
_atom_site_label
_atom_site_type_symbol
_atom_site_fract_x
_atom_site_fract_y
_atom_site_fract_z
Re1 Re 0.000 0.000 0.000
Sb1 Sb 0.000 0.500 0.000
Cl1 Cl 0.000 0.140 0.500
```

Principal peaks in the range 2θ = 10–80°, by intensity:
hkl 0 2 0, d = 6.575 Å, 13.5°, I = 100.0; hkl 0 2 1, d = 2.862 Å, 31.3°, I = 32.7; hkl 0 4 1, d = 2.285 Å, 39.4°, I = 23.5; hkl 2 2 1, d = 1.941 Å, 46.8°, I = 21.3; hkl 2 4 1, d = 1.728 Å, 53.0°, I = 19.5; hkl 2 0 0, d = 2.640 Å, 34.0°, I = 18.4; hkl 2 2 0, d = 2.450 Å, 36.7°, I = 17.9; hkl 1 1 0, d = 4.900 Å, 18.1°, I = 15.0; hkl 0 4 0, d = 3.287 Å, 27.1°, I = 12.8; hkl 0 0 1, d = 3.179 Å, 28.1°, I = 11.3

---

4.
Starting from a PBE-relaxed structure, the PXRD pattern of ZrV2GaN was simulated for Cu Kα X-rays.
Lines closer than 0.1° are merged.

Structural model:
```
data_ZrV2GaN
_cell_length_a 3.944
_cell_length_b 3.944
_cell_length_c 4.530
_cell_angle_alpha 90.00
_cell_angle_beta 90.00
_cell_angle_gamma 90.00
_symmetry_space_group_name_H-M 'P 4/m m m'
_symmetry_Int_Tables_number 123
_symmetry_space_group_name_Hall '-P 4 2'
loop_
_atom_site_label
_atom_site_type_symbol
_atom_site_fract_x
_atom_site_fract_y
_atom_site_fract_z
Zr1 Zr 0.000 0.000 0.000
V1 V 0.000 0.500 0.500
Ga1 Ga 0.500 0.500 0.000
N1 N 0.000 0.000 0.500
```

Principal peaks in the range 2θ = 10–80°, by intensity:
hkl 1 1 1, d = 2.375 Å, 37.9°, I = 100.0; hkl 2 0 0, d = 1.972 Å, 46.0°, I = 33.9; hkl 0 0 2, d = 2.265 Å, 39.8°, I = 26.4; hkl 2 0 2, d = 1.487 Å, 62.4°, I = 25.5; hkl 3 1 1, d = 1.202 Å, 79.8°, I = 20.8; hkl 1 1 3, d = 1.328 Å, 71.0°, I = 14.6; hkl 2 2 0, d = 1.394 Å, 67.1°, I = 10.1; hkl 1 1 0, d = 2.789 Å, 32.1°, I = 7.8; hkl 0 0 1, d = 4.530 Å, 19.6°, I = 4.9; hkl 1 1 2, d = 1.758 Å, 52.0°, I = 4.0

---

5.
Starting from a PBE-relaxed structure, the PXRD pattern of CuNiHRuCSe was simulated for Cu Kα X-rays.
Lines closer than 0.1° are merged.

Structural model:
```
data_CuNiHRuCSe
_cell_length_a 12.480
_cell_length_b 3.488
_cell_length_c 3.396
_cell_angle_alpha 90.00
_cell_angle_beta 100.77
_cell_angle_gamma 90.00
_symmetry_space_group_name_H-M 'C 1 m 1'
_symmetry_Int_Tables_number 8
_symmetry_space_group_name_Hall 'C -2y'
loop_
_atom_site_label
_atom_site_type_symbol
_atom_site_fract_x
_atom_site_fract_y
_atom_site_fract_z
Cu1 Cu 0.000 0.000 0.000
Ni1 Ni 0.063 0.500 0.560
H1 H 0.321 0.500 0.211
Ru1 Ru 0.352 0.000 0.201
C1 C 0.433 0.000 0.760
Se1 Se 0.188 0.000 0.603
```

Principal peaks in the range 2θ = 10–80°, by intensity:
hkl 3 1 -1, d = 2.211 Å, 40.8°, I = 100.0; hkl 1 1 0, d = 3.355 Å, 26.6°, I = 97.7; hkl 2 0 1, d = 2.724 Å, 32.9°, I = 87.0; hkl 5 1 0, d = 2.006 Å, 45.2°, I = 78.1; hkl 3 1 1, d = 1.964 Å, 46.2°, I = 77.1; hkl 0 2 0, d = 1.744 Å, 52.5°, I = 39.7; hkl 2 0 -1, d = 3.192 Å, 28.0°, I = 34.8; hkl 1 1 -1, d = 2.429 Å, 37.0°, I = 32.9; hkl 4 0 -1, d = 2.502 Å, 35.9°, I = 31.9; hkl 6 0 0, d = 2.043 Å, 44.3°, I = 30.3

---

6.
Starting from a PBE-relaxed structure, the PXRD pattern of Ce5Zn4 was simulated for Cu Kα X-rays.
Lines closer than 0.1° are merged.

Structural model:
```
data_Ce5Zn4
_cell_length_a 10.387
_cell_length_b 5.253
_cell_length_c 8.919
_cell_angle_alpha 90.00
_cell_angle_beta 124.46
_cell_angle_gamma 90.00
_symmetry_space_group_name_H-M 'C 1 2/m 1'
_symmetry_Int_Tables_number 12
_symmetry_space_group_name_Hall '-C 2y'
loop_
_atom_site_label
_atom_site_type_symbol
_atom_site_fract_x
_atom_site_fract_y
_atom_site_fract_z
Ce1 Ce 0.000 0.000 0.000
Ce2 Ce 0.104 0.000 0.444
Ce3 Ce 0.216 0.000 0.880
Zn1 Zn 0.044 0.500 0.222
Zn2 Zn 0.137 0.500 0.659
```

Principal peaks in the range 2θ = 10–80°, by intensity:
hkl 1 1 2, d = 2.502 Å, 35.9°, I = 100.0; hkl 3 1 -3, d = 2.472 Å, 36.3°, I = 94.0; hkl 0 2 0, d = 2.626 Å, 34.1°, I = 57.8; hkl 4 0 -1, d = 2.464 Å, 36.5°, I = 43.9; hkl 4 2 -1, d = 1.797 Å, 50.8°, I = 33.7; hkl 3 3 -3, d = 1.485 Å, 62.6°, I = 20.1; hkl 1 3 2, d = 1.491 Å, 62.3°, I = 19.6; hkl 2 2 -5, d = 1.440 Å, 64.7°, I = 17.2; hkl 1 1 0, d = 4.478 Å, 19.8°, I = 16.7; hkl 2 0 -5, d = 1.722 Å, 53.2°, I = 15.8

---

7.
Starting from a PBE-relaxed structure, the PXRD pattern of K2TiCr2Se6 was simulated for Cu Kα X-rays.
Lines closer than 0.1° are merged.

Structural model:
```
data_K2TiCr2Se6
_cell_length_a 6.425
_cell_length_b 11.134
_cell_length_c 8.096
_cell_angle_alpha 90.00
_cell_angle_beta 105.10
_cell_angle_gamma 90.00
_symmetry_space_group_name_H-M 'C 1 2/m 1'
_symmetry_Int_Tables_number 12
_symmetry_space_group_name_Hall '-C 2y'
loop_
_atom_site_label
_atom_site_type_symbol
_atom_site_fract_x
_atom_site_fract_y
_atom_site_fract_z
K1 K 0.000 0.165 0.000
Ti1 Ti 0.000 0.000 0.500
Cr1 Cr 0.000 0.332 0.500
Se1 Se 0.221 0.500 0.682
Se2 Se 0.229 0.167 0.682
```

Principal peaks in the range 2θ = 10–80°, by intensity:
hkl 2 0 -2, d = 2.818 Å, 31.8°, I = 100.0; hkl 0 0 1, d = 7.816 Å, 11.3°, I = 71.4; hkl 0 6 0, d = 1.855 Å, 49.1°, I = 34.8; hkl 1 3 2, d = 2.321 Å, 38.8°, I = 21.3; hkl 1 3 -1, d = 3.099 Å, 28.8°, I = 15.1; hkl 2 6 -2, d = 1.549 Å, 59.7°, I = 14.9; hkl 1 3 -3, d = 2.163 Å, 41.8°, I = 14.2; hkl 1 3 -4, d = 1.775 Å, 51.5°, I = 12.3; hkl 2 0 1, d = 2.651 Å, 33.8°, I = 11.7; hkl 2 0 -3, d = 2.314 Å, 38.9°, I = 10.4